Record 1
Theoretical X-ray diffraction stick pattern
Compound: LaGa3Cu
Radiation: copper Kα
Structure: DFT lattice parameters and positions (GGA-PBE)
Peak positions follow from Bragg's law for the DFT cell and can differ from measured ones.

Top 10 peaks for 2θ = 15–90°, most intense first:
2θ 34.16, 2.625 Å, intensity 100
2θ 32.85, 2.726 Å, intensity 69
2θ 42.35, 2.134 Å, intensity 59
2θ 54.61, 1.681 Å, intensity 32
2θ 47.80, 1.903 Å, intensity 30
2θ 65.75, 1.420 Å, intensity 23
2θ 72.21, 1.308 Å, intensity 21
2θ 61.43, 1.509 Å, intensity 19
2θ 29.59, 3.018 Å, intensity 17
2θ 86.24, 1.128 Å, intensity 14

Atomic structure:
Cell lengths 6.111, 6.111, 6.111 Å; angles 139.12, 139.12, 59.20 degrees
Fractional positions:
1 La 0.000 0.000 0.000
2 Ga 0.381 0.381 0.000
3 Ga 0.619 0.619 0.000
4 Ga 0.750 0.250 0.500
5 Cu 0.250 0.750 0.500

---

Record 2
Theoretical X-ray diffraction stick pattern
Compound: La2Ga5Cu3
Radiation: copper Kα
Structure: DFT lattice parameters and positions (GGA-PBE)
Peak positions follow from Bragg's law for the DFT cell and can differ from measured ones.

Top 10 peaks for 2θ = 15–90°, most intense first:
2θ 34.16, 2.625 Å, intensity 100
2θ 33.47, 2.678 Å, intensity 77
2θ 41.76, 2.163 Å, intensity 66
2θ 54.54, 1.683 Å, intensity 37
2θ 49.28, 1.849 Å, intensity 26
2θ 71.38, 1.321 Å, intensity 22
2θ 60.54, 1.529 Å, intensity 21
2θ 66.53, 1.406 Å, intensity 21
2θ 29.20, 3.059 Å, intensity 20
2θ 62.36, 1.489 Å, intensity 16

Atomic structure:
Cell lengths 4.326, 4.326, 10.228 Å; angles 90.00, 90.00, 90.00 degrees
Fractional positions:
1 La 0.000 0.500 0.247
2 La 0.500 0.000 0.753
3 Ga 0.000 0.000 0.500
4 Ga 0.000 0.500 0.632
5 Ga 0.000 0.500 0.880
6 Ga 0.500 0.000 0.120
7 Ga 0.500 0.000 0.368
8 Cu 0.000 0.000 0.000
9 Cu 0.500 0.500 0.000
10 Cu 0.500 0.500 0.500

---

Record 3
Theoretical X-ray diffraction stick pattern
Compound: Sr2LaGaCu2O7
Radiation: copper Kα
Structure: DFT lattice parameters and positions (GGA-PBE)
Peak positions follow from Bragg's law for the DFT cell and can differ from measured ones.

Top 10 peaks for 2θ = 15–90°, most intense first:
2θ 32.39, 2.764 Å, intensity 100
2θ 46.18, 1.966 Å, intensity 29
2θ 32.60, 2.747 Å, intensity 28
2θ 31.80, 2.814 Å, intensity 26
2θ 58.04, 1.589 Å, intensity 20
2θ 57.03, 1.615 Å, intensity 17
2θ 38.44, 2.342 Å, intensity 17
2θ 46.74, 1.943 Å, intensity 10
2θ 67.81, 1.382 Å, intensity 10
2θ 58.15, 1.586 Å, intensity 8

Atomic structure:
Cell lengths 12.306, 12.306, 12.306 Å; angles 37.27, 153.56, 154.20 degrees
Fractional positions:
1 Sr 0.020 0.153 0.174
2 Sr 0.020 0.347 0.367
3 Sr 0.980 0.653 0.633
4 Sr 0.980 0.847 0.826
5 La 0.997 0.497 0.500
6 La 0.997 0.997 0.000
7 Ga 0.459 0.779 0.180
8 Ga 0.599 0.279 0.820
9 Cu 0.495 0.574 0.076
10 Cu 0.495 0.919 0.421
11 Cu 0.498 0.074 0.579
12 Cu 0.498 0.419 0.924
13 O 0.412 0.142 0.627
14 O 0.412 0.285 0.770
15 O 0.498 0.177 0.180
16 O 0.498 0.817 0.821
17 O 0.499 0.314 0.319
18 O 0.499 0.681 0.685
19 O 0.515 0.642 0.230
20 O 0.515 0.785 0.373
21 O 0.750 0.125 0.125
22 O 0.996 0.181 0.681
23 O 0.996 0.814 0.315
24 O 0.997 0.317 0.820
25 O 0.997 0.677 0.179
26 O 0.999 0.625 0.875

---

Record 4
Theoretical X-ray diffraction stick pattern
Compound: La3GaCuSe7
Radiation: copper Kα
Structure: DFT lattice parameters and positions (GGA-PBE)
Peak positions follow from Bragg's law for the DFT cell and can differ from measured ones.

Top 10 peaks for 2θ = 15–90°, most intense first:
2θ 33.74, 2.657 Å, intensity 100
2θ 32.39, 2.764 Å, intensity 82
2θ 29.25, 3.054 Å, intensity 70
2θ 29.66, 3.012 Å, intensity 70
2θ 34.22, 2.621 Å, intensity 59
2θ 38.30, 2.350 Å, intensity 58
2θ 23.85, 3.731 Å, intensity 51
2θ 35.16, 2.553 Å, intensity 36
2θ 45.20, 2.006 Å, intensity 33
2θ 47.46, 1.916 Å, intensity 33

Atomic structure:
Cell lengths 10.627, 10.627, 6.376 Å; angles 90.00, 90.00, 120.00 degrees
Fractional positions:
1 La 0.147 0.778 0.000
2 La 0.222 0.369 0.000
3 La 0.369 0.147 0.500
4 La 0.631 0.853 0.000
5 La 0.778 0.631 0.500
6 La 0.853 0.222 0.500
7 Ga 0.333 0.667 0.414
8 Ga 0.667 0.333 0.914
9 Cu 0.000 0.000 0.062
10 Cu 0.000 0.000 0.562
11 Se 0.090 0.520 0.268
12 Se 0.104 0.849 0.538
13 Se 0.151 0.255 0.538
14 Se 0.255 0.104 0.038
15 Se 0.333 0.667 0.790
16 Se 0.430 0.910 0.268
17 Se 0.480 0.570 0.268
18 Se 0.520 0.430 0.768
19 Se 0.570 0.090 0.768
20 Se 0.667 0.333 0.290
21 Se 0.745 0.896 0.538
22 Se 0.849 0.745 0.038
23 Se 0.896 0.151 0.038
24 Se 0.910 0.480 0.768